(1)
Computed powder XRD pattern
Compound: Sm8AgPd2
Radiation: λ = 1.5418 Å (Cu Kα)
Structure: a DFT-relaxed cell (GGA-PBE, Alexandria)

Structure:
```
data_Sm8AgPd2
_chemical_formula_sum 'Sm8 Ag1 Pd2'
_cell_length_a 9.586
_cell_length_b 9.586
_cell_length_c 6.879
_cell_angle_alpha 107.51
_cell_angle_beta 107.51
_cell_angle_gamma 31.67
_space_group_name_H-M_alt 'P 1'
_space_group_IT_number 1
loop_
_space_group_symop_operation_xyz
'x,y,z'
loop_
_atom_site_label
_atom_site_type_symbol
_atom_site_fract_x
_atom_site_fract_y
_atom_site_fract_z
Sm1 Sm 0.029 0.029 0.281
Sm2 Sm 0.201 0.201 0.841
Sm3 Sm 0.325 0.325 0.497
Sm4 Sm 0.406 0.406 0.024
Sm5 Sm 0.594 0.594 0.976
Sm6 Sm 0.675 0.675 0.503
Sm7 Sm 0.799 0.799 0.159
Sm8 Sm 0.971 0.971 0.719
Ag1 Ag 0.500 0.500 0.500
Pd1 Pd 0.173 0.173 0.235
Pd2 Pd 0.827 0.827 0.765
```

Principal peaks in the range 15° ≤ 2θ ≤ 90°, in order of rising 2θ:
29.0°, d 3.076, I 42
30.2°, d 2.960, I 62
30.7°, d 2.914, I 44
31.3°, d 2.856, I 100
34.1°, d 2.631, I 32
34.3°, d 2.616, I 86
36.9°, d 2.434, I 25
56.4°, d 1.632, I 25

(2)
Computed powder XRD pattern
Compound: NaDySnAu
Radiation: λ = 1.5418 Å (Cu Kα)
Structure: a DFT-relaxed cell (GGA-PBE, Alexandria)

Structure:
```
data_NaDySnAu
_chemical_formula_sum 'Na1 Dy1 Sn1 Au1'
_cell_length_a 5.128
_cell_length_b 5.128
_cell_length_c 5.128
_cell_angle_alpha 60.00
_cell_angle_beta 60.00
_cell_angle_gamma 60.00
_space_group_name_H-M_alt 'P 1'
_space_group_IT_number 1
loop_
_space_group_symop_operation_xyz
'x,y,z'
loop_
_atom_site_label
_atom_site_type_symbol
_atom_site_fract_x
_atom_site_fract_y
_atom_site_fract_z
Na1 Na 0.000 0.000 0.000
Dy1 Dy 0.500 0.500 0.500
Sn1 Sn 0.750 0.750 0.750
Au1 Au 0.250 0.250 0.250
```

Principal peaks in the range 15° ≤ 2θ ≤ 90°, in order of rising 2θ:
21.2°, d 4.187, I 22
24.6°, d 3.626, I 9
35.0°, d 2.564, I 100
41.3°, d 2.187, I 12
50.3°, d 1.813, I 18
62.8°, d 1.480, I 37
73.9°, d 1.282, I 12
84.5°, d 1.147, I 17

(3)
Computed powder XRD pattern
Compound: Ta5Re4
Radiation: λ = 1.5418 Å (Cu Kα)
Structure: a DFT-relaxed cell (GGA-PBE, Alexandria)

Structure:
```
data_Ta5Re4
_chemical_formula_sum 'Ta5 Re4'
_cell_length_a 7.008
_cell_length_b 7.008
_cell_length_c 7.008
_cell_angle_alpha 93.00
_cell_angle_beta 93.00
_cell_angle_gamma 153.56
_space_group_name_H-M_alt 'P 1'
_space_group_IT_number 1
loop_
_space_group_symop_operation_xyz
'x,y,z'
loop_
_atom_site_label
_atom_site_type_symbol
_atom_site_fract_x
_atom_site_fract_y
_atom_site_fract_z
Ta1 Ta 0.000 0.000 0.000
Ta2 Ta 0.333 0.333 0.666
Ta3 Ta 0.333 0.667 0.000
Ta4 Ta 0.667 0.333 0.000
Ta5 Ta 0.667 0.667 0.334
Re1 Re 0.000 0.337 0.337
Re2 Re 0.000 0.663 0.663
Re3 Re 0.337 0.000 0.337
Re4 Re 0.663 0.000 0.663
```

Principal peaks in the range 15° ≤ 2θ ≤ 90°, in order of rising 2θ:
39.7°, d 2.271, I 100
57.3°, d 1.608, I 12
57.5°, d 1.602, I 6
72.0°, d 1.312, I 23
72.1°, d 1.310, I 12
85.4°, d 1.137, I 4
85.6°, d 1.135, I 8